The following is a theoretical powder X-ray diffraction pattern of NaZn2. It was derived from a PBE-relaxed structure, using Cu Kα (λ = 1.5418 Å).
Lines closer than 0.1° are merged.

Peak list (12 most intense, 10 to 90 degrees two-theta, low angle first)
| h k l | Position (°2θ) | I/Imax |
| --- | --- | --- |
| 0 1 1 | 17.11 | 59 |
| 1 0 1 | 23.03 | 53 |
| 0 2 0 | 24.99 | 45 |
| 1 1 2 | 33.46 | 67 |
| 1 2 1 | 34.24 | 80 |
| 0 3 1 | 39.78 | 70 |
| 2 0 0 | 40.12 | 64 |
| 1 0 3 | 41.13 | 100 |
| 1 2 3 | 48.73 | 40 |
| 1 3 2 | 49.68 | 51 |
| 2 3 1 | 57.78 | 44 |
| 1 3 4 | 66.64 | 32 |

Crystal structure
Unit cell a=4.4947 b=7.1264 c=7.5454 alpha=90.00 beta=90.00 gamma=90.00
Space group Imma (No. 74)
One atom of each set of equivalent atoms:
1 Na 0.0000 0.2500 0.0586
2 Zn 0.0000 0.0638 0.6623